# NaPu2SiO8
Computed powder diffraction line list, Cu Kα (λ = 1.5418 Å). Input: a PBE-relaxed structure.
Lines closer than 0.1° are merged.

Top 10 peaks for 5 to 70 degrees two-theta, most intense first:
two_theta	I (rel.)	hkl
18.9	100	1 1 0
32.8	73	1 1 2
26.3	40	0 2 0
27.4	37	2 0 0
37.7	29	0 2 2
50.7	28	1 3 2
51.9	26	3 1 2
47.2	22	2 2 2
26.5	21	0 0 2
38.3	19	2 2 0

Crystal structure
```
data_NaPu2SiO8
_chemical_formula_sum 'Na2 Pu4 Si2 O16'
_cell_length_a 6.518
_cell_length_b 6.766
_cell_length_c 6.719
_cell_angle_alpha 90.00
_cell_angle_beta 90.00
_cell_angle_gamma 90.00
_symmetry_space_group_name_H-M 'C m m m'
_symmetry_Int_Tables_number 65
_symmetry_space_group_name_Hall '-C 2 2'
loop_
_atom_site_label
_atom_site_type_symbol
_atom_site_fract_x
_atom_site_fract_y
_atom_site_fract_z
Na1 Na 0.000 0.000 0.000
Pu1 Pu 0.000 0.500 0.258
Si1 Si 0.000 0.000 0.500
O1 O 0.000 0.277 0.500
O2 O 0.000 0.322 0.000
O3 O 0.189 0.000 0.303
```


# NaSmPuO6
Computed powder diffraction line list, Cu Kα (λ = 1.5418 Å). Input: a PBE-relaxed structure.
Lines closer than 0.1° are merged.

Top 10 peaks for 5 to 70 degrees two-theta, most intense first:
two_theta	I (rel.)	hkl
25.8	100	1 0 2
20.3	85	1 0 1
31.6	50	1 1 0
49.4	44	1 1 4
41.2	29	2 0 2
52.9	28	2 1 2
33.1	20	1 0 3
56.3	17	3 0 0
50.1	13	2 1 1
37.9	12	2 0 1

Crystal structure
```
data_NaSmPuO6
_chemical_formula_sum 'Na2 Sm2 Pu2 O12'
_cell_length_a 5.6574
_cell_length_b 5.6574
_cell_length_c 9.7451
_cell_angle_alpha 90.00
_cell_angle_beta 90.00
_cell_angle_gamma 120.00
_symmetry_space_group_name_H-M 'P -3 1 c'
_symmetry_Int_Tables_number 163
_symmetry_space_group_name_Hall '-P 3 2c'
loop_
_atom_site_label
_atom_site_type_symbol
_atom_site_fract_x
_atom_site_fract_y
_atom_site_fract_z
Na1 Na 0.3333 0.6667 0.2500
Sm1 Sm 0.0000 0.0000 0.0000
Pu1 Pu 0.3333 0.6667 0.7500
O1 O 0.0538 0.3705 0.6351
```


# Na2PuTcO6
Computed powder diffraction line list, Cu Kα (λ = 1.5418 Å). Input: a PBE-relaxed structure.
Lines closer than 0.1° are merged.

Top 10 peaks for 5 to 70 degrees two-theta, most intense first:
two_theta	I (rel.)	hkl
30.5	100	1 1 1
21.9	99	1 1 0
20.9	56	0 0 1
31.2	49	2 0 0
55.1	39	3 1 1
44.7	33	2 2 0
15.4	30	1 0 0
48.4	25	1 1 2
49.8	22	2 2 1
26.1	21	1 0 1

Crystal structure
```
data_Na2PuTcO6
_chemical_formula_sum 'Na2 Pu1 Tc1 O6'
_cell_length_a 5.736
_cell_length_b 5.736
_cell_length_c 4.246
_cell_angle_alpha 90.00
_cell_angle_beta 90.00
_cell_angle_gamma 90.00
_symmetry_space_group_name_H-M 'P 4 m m'
_symmetry_Int_Tables_number 99
loop_
_symmetry_equiv_pos_as_xyz
'x,y,z'
'-y,x,z'
'-x,-y,z'
'y,-x,z'
'-x,y,z'
'y,x,z'
'x,-y,z'
'-y,-x,z'
loop_
_atom_site_label
_atom_site_type_symbol
_atom_site_fract_x
_atom_site_fract_y
_atom_site_fract_z
Na1 Na 0.000 0.500 0.000
Pu1 Pu 0.000 0.000 0.585
Tc1 Tc 0.500 0.500 0.542
O1 O 0.000 0.000 0.093
O2 O 0.265 0.265 0.615
O3 O 0.500 0.500 0.119
```


# NaPu2TeO8
Computed powder diffraction line list, Cu Kα (λ = 1.5418 Å). Input: a PBE-relaxed structure.
Lines closer than 0.1° are merged.

Top 10 peaks for 5 to 70 degrees two-theta, most intense first:
two_theta	I (rel.)	hkl
31.5	100	1 1 2
17.7	64	1 1 0
24.7	58	0 2 0
25.6	51	2 0 0
48.0	42	1 3 2
48.9	37	3 1 2
35.9	29	2 2 0
61.7	22	3 3 2
36.1	20	0 2 2
59.5	12	0 2 4

Crystal structure
```
data_NaPu2TeO8
_chemical_formula_sum 'Na2 Pu4 Te2 O16'
_cell_length_a 6.968
_cell_length_b 7.205
_cell_length_c 6.894
_cell_angle_alpha 90.00
_cell_angle_beta 90.00
_cell_angle_gamma 90.00
_symmetry_space_group_name_H-M 'C m m m'
_symmetry_Int_Tables_number 65
_symmetry_space_group_name_Hall '-C 2 2'
loop_
_atom_site_label
_atom_site_type_symbol
_atom_site_fract_x
_atom_site_fract_y
_atom_site_fract_z
Na1 Na 0.000 0.000 0.000
Pu1 Pu 0.000 0.500 0.248
Te1 Te 0.000 0.000 0.500
O1 O 0.000 0.303 0.500
O2 O 0.000 0.327 0.000
O3 O 0.208 0.000 0.270
```


# NaPu2TiO8
Computed powder diffraction line list, Cu Kα (λ = 1.5418 Å). Input: a PBE-relaxed structure.
Lines closer than 0.1° are merged.

Top 10 peaks for 5 to 70 degrees two-theta, most intense first:
two_theta	I (rel.)	hkl
18.4	100	1 1 0
32.2	82	1 1 2
25.7	46	0 2 0
26.5	42	2 0 0
49.5	33	1 3 2
50.5	30	3 1 2
37.0	29	0 2 2
37.3	22	2 2 0
26.2	21	0 0 2
46.1	20	2 2 2

Crystal structure
```
data_NaPu2TiO8
_chemical_formula_sum 'Na2 Pu4 Ti2 O16'
_cell_length_a 6.717
_cell_length_b 6.942
_cell_length_c 6.801
_cell_angle_alpha 90.00
_cell_angle_beta 90.00
_cell_angle_gamma 90.00
_symmetry_space_group_name_H-M 'C m m m'
_symmetry_Int_Tables_number 65
_symmetry_space_group_name_Hall '-C 2 2'
loop_
_atom_site_label
_atom_site_type_symbol
_atom_site_fract_x
_atom_site_fract_y
_atom_site_fract_z
Na1 Na 0.000 0.000 0.000
Pu1 Pu 0.000 0.500 0.254
Ti1 Ti 0.000 0.000 0.500
O1 O 0.000 0.291 0.500
O2 O 0.000 0.324 0.000
O3 O 0.201 0.000 0.285
```


# Na2PuTlO4
Computed powder diffraction line list, Cu Kα (λ = 1.5418 Å). Input: a PBE-relaxed structure.
Lines closer than 0.1° are merged.

Top 10 peaks for 5 to 70 degrees two-theta, most intense first:
two_theta	I (rel.)	hkl
16.1	100	1 0 0
32.6	51	2 0 -2
30.6	50	1 1 -1
37.2	49	1 1 1
29.8	46	0 1 1
29.4	29	0 0 2
49.7	28	2 1 -3
26.3	26	1 0 -2
48.1	20	1 1 -3
39.2	18	2 1 -1

Crystal structure
```
data_Na2PuTlO4
_chemical_formula_sum 'Na2 Pu1 Tl1 O4'
_cell_length_a 6.154
_cell_length_b 3.453
_cell_length_c 6.817
_cell_angle_alpha 90.00
_cell_angle_beta 116.81
_cell_angle_gamma 90.00
_symmetry_space_group_name_H-M 'P 1 2/m 1'
_symmetry_Int_Tables_number 10
loop_
_symmetry_equiv_pos_as_xyz
'x,y,z'
'-x,-y,-z'
'-x,y,-z'
'x,-y,z'
loop_
_atom_site_label
_atom_site_type_symbol
_atom_site_fract_x
_atom_site_fract_y
_atom_site_fract_z
Na1 Na 0.000 0.000 0.000
Na2 Na 0.000 0.500 0.500
Pu1 Pu 0.500 0.000 0.500
Tl1 Tl 0.500 0.500 0.000
O1 O 0.272 0.500 0.282
O2 O 0.291 0.000 0.651
```